Entry 1:
Starting from the PBE+U geometry in Alexandria, the powder diffraction line list of BaCo2P2O8 was simulated for a wavelength of 1.5418 Å.
No peak broadening, texture or thermal motion is included.

Structural model:
```
data_BaCo2P2O8
_symmetry_space_group_name_H-M 'P -3'
_symmetry_Int_Tables_number 147
_cell_length_a 5.3898
_cell_length_b 5.3898
_cell_length_c 8.2011
_cell_angle_alpha 90.00
_cell_angle_beta 90.00
_cell_angle_gamma 120.00
loop_
_symmetry_equiv_pos_as_xyz
'x,y,z'
'-x,-y,-z'
'-y,x-y,z'
'y,-x+y,-z'
'-x+y,-x,z'
'x-y,x,-z'
loop_
_atom_site_label
_atom_site_type_symbol
_atom_site_fract_x
_atom_site_fract_y
_atom_site_fract_z
Ba1 Ba 0.0000 0.0000 0.0000
Co1 Co 0.3333 0.6667 0.6911
P1 P 0.3333 0.6667 0.2731
O1 O 0.0381 0.6081 0.2038
O2 O 0.3333 0.6667 0.4579
```

Peak list (8 most intense, 10 to 90 degrees two-theta, by angle)
(0 0 1), 8.201 Å, 2θ = 10.79°, I = 14
(1 0 1), 4.057 Å, 2θ = 21.91°, I = 100
(0 1 2), 3.081 Å, 2θ = 28.98°, I = 83
(1 1 0), 2.695 Å, 2θ = 33.25°, I = 58
(0 2 1), 2.245 Å, 2θ = 40.17°, I = 27
(2 -1 3), 1.919 Å, 2θ = 47.37°, I = 33
(3 -1 1), 1.725 Å, 2θ = 53.10°, I = 21
(3 -2 2), 1.621 Å, 2θ = 56.81°, I = 20

---

Entry 2:
Starting from the PBE+U geometry in Alexandria, the powder diffraction line list of LiNbCo3P6O24 was simulated for a wavelength of 1.5418 Å.
No peak broadening, texture or thermal motion is included.

Structural model:
```
data_LiNbCo3P6O24
_symmetry_space_group_name_H-M 'P 1'
_symmetry_Int_Tables_number 1
_cell_length_a 8.564
_cell_length_b 8.610
_cell_length_c 8.610
_cell_angle_alpha 119.91
_cell_angle_beta 90.38
_cell_angle_gamma 119.44
loop_
_symmetry_equiv_pos_as_xyz
'x,y,z'
loop_
_atom_site_label
_atom_site_type_symbol
_atom_site_fract_x
_atom_site_fract_y
_atom_site_fract_z
Li1 Li 0.000 0.000 0.000
Nb1 Nb 0.912 0.273 0.639
Co1 Co 0.085 0.725 0.364
Co2 Co 0.435 0.286 0.145
Co3 Co 0.581 0.723 0.864
P1 P 0.257 0.791 0.746
P2 P 0.258 0.509 0.052
P3 P 0.259 0.208 0.466
P4 P 0.761 0.526 0.985
P5 P 0.762 0.220 0.239
P6 P 0.764 0.781 0.545
O1 O 0.079 0.382 0.884
O2 O 0.080 0.195 0.508
O3 O 0.083 0.571 0.692
O4 O 0.245 0.179 0.273
O5 O 0.245 0.971 0.910
O6 O 0.252 0.337 0.071
O7 O 0.254 0.673 0.245
O8 O 0.259 0.822 0.582
O9 O 0.264 0.015 0.435
O10 O 0.437 0.652 0.027
O11 O 0.440 0.414 0.631
O12 O 0.441 0.805 0.788
O13 O 0.573 0.191 0.192
O14 O 0.580 0.384 0.004
O15 O 0.585 0.574 0.383
O16 O 0.763 0.976 0.574
O17 O 0.765 0.193 0.406
O18 O 0.767 0.700 0.970
O19 O 0.770 0.368 0.792
O20 O 0.776 0.046 0.073
O21 O 0.780 0.806 0.734
O22 O 0.940 0.443 0.306
O23 O 0.951 0.658 0.144
O24 O 0.957 0.822 0.514
```

Peak list (8 most intense, 10 to 90 degrees two-theta, by angle)
(1 0 -1), 6.108 Å, 2θ = 14.50°, I = 31
(1 1 -1), 4.322 Å, 2θ = 20.55°, I = 74
(1 0 1), 4.305 Å, 2θ = 20.63°, I = 100
(2 -1 0), 4.282 Å, 2θ = 20.74°, I = 42
(0 2 -1), 3.689 Å, 2θ = 24.13°, I = 75
(1 -1 2), 3.662 Å, 2θ = 24.31°, I = 68
(0 2 0), 3.063 Å, 2θ = 29.15°, I = 30
(1 0 -3), 2.486 Å, 2θ = 36.14°, I = 45